Computed XRD peak list
Compound: K3Mo2O4F5
Radiation: copper Kα
Structure: a structure optimized by DFT (GGA+U)
No peak broadening, texture or thermal motion is included.

```
K3Mo2O4F5
1.0
9.787 0.000 0.000
0.000 15.335 0.000
0.000 0.000 6.171
K Mo O F
12 8 16 20
Cartesian
0.654 1.656 0.000 K
1.236 6.248 3.086 K
1.509 12.231 3.086 K
3.384 4.563 0.000 K
3.658 13.915 0.000 K
4.240 9.324 3.086 K
5.547 6.011 3.086 K
6.129 1.420 0.000 K
6.402 10.772 0.000 K
8.278 3.104 3.086 K
8.551 9.088 3.086 K
9.133 13.679 0.000 K
0.543 10.298 0.000 Mo
2.276 0.474 3.086 Mo
2.618 8.141 0.000 Mo
4.350 2.631 3.086 Mo
5.437 12.705 3.086 Mo
7.169 7.194 0.000 Mo
7.511 14.861 3.086 Mo
9.243 5.037 0.000 Mo
0.914 1.531 3.086 O
1.407 9.058 1.294 O
1.407 9.058 4.877 O
1.587 11.689 0.000 O
3.306 4.021 3.086 O
3.486 1.390 1.792 O
3.486 1.390 4.380 O
3.979 9.199 0.000 O
5.807 6.136 0.000 O
6.301 13.945 1.792 O
6.301 13.945 4.380 O
6.480 11.314 3.086 O
8.200 3.646 0.000 O
8.379 6.278 1.294 O
8.379 6.278 4.877 O
8.873 13.804 3.086 O
0.684 4.207 1.422 F
0.684 4.207 4.749 F
1.194 6.430 0.000 F
1.554 14.604 1.554 F
1.554 14.604 4.617 F
3.340 6.936 1.532 F
3.340 6.936 4.640 F
3.700 14.098 3.086 F
4.209 11.875 1.664 F
4.209 11.875 4.508 F
5.577 3.460 1.664 F
5.577 3.460 4.508 F
6.087 1.237 3.086 F
6.447 8.399 1.532 F
6.447 8.399 4.640 F
8.233 0.731 1.554 F
8.233 0.731 4.617 F
8.593 8.905 0.000 F
9.103 11.128 1.422 F
9.103 11.128 4.749 F
```

Main lines, most intense first (2θ from 10° to 90°):
| index | d [Å] | I (rel.) |
| --- | --- | --- |
| 0 1 1 | 5.725 | 100 |
| 2 3 2 | 2.325 | 67 |
| 2 2 0 | 4.125 | 59 |
| 0 0 2 | 3.086 | 55 |
| 2 3 1 | 3.067 | 49 |
| 2 2 1 | 3.429 | 40 |
| 0 5 1 | 2.747 | 39 |
| 1 0 1 | 5.220 | 37 |